For V2HgPb2O7, DFT lattice parameters and positions (GGA+U) gives the calculated powder diffractogram in this record (Cu Kα).
No peak broadening, texture or thermal motion is included.

Atomic structure:
```
data_V2HgPb2O7
_cell_length_a 6.2730
_cell_length_b 6.2730
_cell_length_c 25.7539
_cell_angle_alpha 90.00
_cell_angle_beta 90.00
_cell_angle_gamma 120.00
_symmetry_space_group_name_H-M 'R -3 m'
_symmetry_Int_Tables_number 166
_symmetry_space_group_name_Hall '-R 3 2"'
loop_
_atom_site_label
_atom_site_type_symbol
_atom_site_fract_x
_atom_site_fract_y
_atom_site_fract_z
_atom_site_occupancy
V1 V 0.0000 0.0000 0.0706 1
Hg1 Hg 0.0000 0.0000 0.5000 1
Pb1 Pb 0.0000 0.0000 0.2841 1
O1 O 0.0000 0.0000 0.0000 1
O2 O 0.0299 0.5149 0.5765 1
```

Main lines, in order of rising 2θ (10° ≤ 2θ ≤ 80°):
| 2theta | d/Å | I (rel.) |
| --- | --- | --- |
| 21.4 | 4.152 | 68 |
| 23.8 | 3.738 | 100 |
| 28.5 | 3.136 | 77 |
| 35.9 | 2.503 | 16 |
| 37.4 | 2.403 | 22 |
| 42.8 | 2.114 | 45 |
| 46.4 | 1.956 | 21 |
| 47.7 | 1.907 | 29 |
| 50.4 | 1.811 | 16 |
| 60.5 | 1.530 | 16 |